Starting from a cell relaxed with PBE, the powder X-ray diffraction pattern of Cs4AlTl4 was computed for CuKα.

Top 10 peaks for 5 to 70 degrees two-theta, sorted by position:
8.15°, d = 10.853 Å, I = 100, hkl 0 0 2
25.11°, d = 3.547 Å, I = 99, hkl 1 1 4
26.91°, d = 3.313 Å, I = 66, hkl 2 0 0
28.16°, d = 3.169 Å, I = 15, hkl 2 0 2
31.24°, d = 2.864 Å, I = 72, hkl 1 1 6
32.65°, d = 2.742 Å, I = 11, hkl 2 1 3
38.42°, d = 2.343 Å, I = 25, hkl 2 2 0
46.45°, d = 1.955 Å, I = 28, hkl 3 1 4
50.29°, d = 1.814 Å, I = 51, hkl 2 0 10
57.92°, d = 1.592 Å, I = 12, hkl 2 2 10

Cell and atoms:
abc: 6.627 6.627 21.705
angles: 90.00 90.00 90.00
Space group I-42m (No. 121)
Symmetry-distinct sites (fractional):
Cs 0.241 0.241 0.351 x8
Al 0.000 0.000 0.500 x2
Tl 0.213 0.213 0.043 x8

***

Starting from a cell relaxed with PBE, the powder X-ray diffraction pattern of CsZr3Al was computed for CuKα.

Top 9 peaks for 5 to 70 degrees two-theta, sorted by position:
23.74°, d = 3.747 Å, I = 7, hkl 1 1 0
29.19°, d = 3.060 Å, I = 100, hkl 1 1 1
33.83°, d = 2.650 Å, I = 66, hkl 2 0 0
41.75°, d = 2.164 Å, I = 3, hkl 2 1 1
48.59°, d = 1.874 Å, I = 46, hkl 2 2 0
54.78°, d = 1.676 Å, I = 1, hkl 3 1 0
57.69°, d = 1.598 Å, I = 42, hkl 3 1 1
60.52°, d = 1.530 Å, I = 16, hkl 2 2 2
65.95°, d = 1.416 Å, I = 2, hkl 3 2 1

Cell and atoms:
abc: 5.299 5.299 5.299
angles: 90.00 90.00 90.00
Space group Pm-3m (No. 221)
Symmetry-distinct sites (fractional):
Cs 0.000 0.000 0.000 x1
Zr 0.000 0.500 0.500 x3
Al 0.500 0.500 0.500 x1

***

Starting from a cell relaxed with PBE, the powder X-ray diffraction pattern of Al4Cu3 was computed for CuKα.

Top 10 peaks for 5 to 70 degrees two-theta, sorted by position:
9.74°, d = 9.081 Å, I = 12, hkl 0 0 2
19.55°, d = 4.540 Å, I = 18, hkl 0 0 4
30.71°, d = 2.912 Å, I = 27, hkl 1 0 3
38.33°, d = 2.348 Å, I = 78, hkl 1 1 0
43.38°, d = 2.086 Å, I = 10, hkl 1 1 4
44.30°, d = 2.045 Å, I = 100, hkl 1 0 7
55.32°, d = 1.661 Å, I = 26, hkl 2 0 0
59.25°, d = 1.560 Å, I = 3, hkl 2 0 4
64.61°, d = 1.442 Å, I = 5, hkl 2 1 3
64.91°, d = 1.437 Å, I = 3, hkl 1 1 10

Cell and atoms:
abc: 3.321 3.321 18.162
angles: 90.00 90.00 90.00
Space group I4/mmm (No. 139)
Symmetry-distinct sites (fractional):
Al 0.000 0.000 0.071 x4
Al 0.000 0.000 0.350 x4
Cu 0.000 0.000 0.212 x4
Cu 0.000 0.000 0.500 x2

***

Starting from a cell relaxed with PBE, the powder X-ray diffraction pattern of AlCu7 was computed for CuKα.

Top 10 peaks for 5 to 70 degrees two-theta, sorted by position:
21.03°, d = 4.223 Å, I = 4, hkl 1 1 1
24.34°, d = 3.658 Å, I = 2, hkl 2 0 0
34.68°, d = 2.586 Å, I = 2, hkl 2 2 0
40.92°, d = 2.206 Å, I = 2, hkl 3 1 1
42.82°, d = 2.112 Å, I = 100, hkl 2 2 2
49.86°, d = 1.829 Å, I = 47, hkl 4 0 0
54.69°, d = 1.678 Å, I = 1, hkl 3 3 1
56.24°, d = 1.636 Å, I = 1, hkl 4 2 0
62.17°, d = 1.493 Å, I = 1, hkl 4 2 2
66.40°, d = 1.408 Å, I = 1, hkl 5 1 1

Cell and atoms:
abc: 7.315 7.315 7.315
angles: 90.00 90.00 90.00
Space group Fm-3m (No. 225)
Symmetry-distinct sites (fractional):
Al 0.000 0.000 0.000 x4
Cu 0.000 0.000 0.500 x4
Cu 0.000 0.250 0.250 x24

***

Starting from a cell relaxed with PBE, the powder X-ray diffraction pattern of AlCu6 was computed for CuKα.

Top 10 peaks for 5 to 70 degrees two-theta, sorted by position:
16.40°, d = 5.404 Å, I = 12, hkl 1 1 0
28.61°, d = 3.120 Å, I = 3, hkl 3 0 0
33.15°, d = 2.702 Å, I = 1, hkl 2 2 0
36.27°, d = 2.477 Å, I = 4, hkl 1 0 1
43.54°, d = 2.079 Å, I = 100, hkl 3 -1 1
44.35°, d = 2.043 Å, I = 98, hkl 4 1 0
49.95°, d = 1.826 Å, I = 2, hkl 4 -3 1
52.93°, d = 1.730 Å, I = 1, hkl 4 0 1
55.80°, d = 1.648 Å, I = 2, hkl 3 2 1
63.90°, d = 1.457 Å, I = 30, hkl 2 4 1

Cell and atoms:
abc: 10.8088 10.8088 2.5685
angles: 90.00 90.00 120.00
Space group R-3 (No. 148, hexagonal axes)
Symmetry-distinct sites (fractional):
Al 0.0000 0.0000 0.0000 x3
Cu 0.0503 0.8098 0.6416 x18

***

Starting from a cell relaxed with PBE, the powder X-ray diffraction pattern of Al4Cu was computed for CuKα.

Top 10 peaks for 5 to 70 degrees two-theta, sorted by position:
20.38°, d = 4.358 Å, I = 15, hkl 1 1 0
26.27°, d = 3.393 Å, I = 17, hkl 1 0 1
28.98°, d = 3.081 Å, I = 5, hkl 2 0 0
39.51°, d = 2.281 Å, I = 100, hkl 1 2 1
41.44°, d = 2.179 Å, I = 3, hkl 2 2 0
44.59°, d = 2.032 Å, I = 17, hkl 0 0 2
46.61°, d = 1.949 Å, I = 31, hkl 3 1 0
49.73°, d = 1.833 Å, I = 4, hkl 3 0 1
66.47°, d = 1.407 Å, I = 21, hkl 3 1 2
68.03°, d = 1.378 Å, I = 10, hkl 2 4 0

Cell and atoms:
abc: 6.163 6.163 4.065
angles: 90.00 90.00 90.00
Space group I4/m (No. 87)
Symmetry-distinct sites (fractional):
Al 0.108 0.700 0.000 x8
Cu 0.000 0.000 0.500 x2

***

Starting from a cell relaxed with PBE, the powder X-ray diffraction pattern of AlCu was computed for CuKα.

Top 10 peaks for 5 to 70 degrees two-theta, sorted by position:
11.76°, d = 7.528 Å, I = 95, hkl 1 0 0
23.64°, d = 3.764 Å, I = 21, hkl 2 0 0
26.47°, d = 3.367 Å, I = 17, hkl 2 1 0
33.67°, d = 2.662 Å, I = 18, hkl 2 2 0
33.96°, d = 2.640 Å, I = 9, hkl 1 2 1
41.79°, d = 2.161 Å, I = 17, hkl 3 0 1
42.49°, d = 2.127 Å, I = 34, hkl 0 0 2
43.56°, d = 2.078 Å, I = 100, hkl 1 3 1
48.57°, d = 1.874 Å, I = 30, hkl 2 3 1
54.51°, d = 1.683 Å, I = 9, hkl 4 2 0

Cell and atoms:
abc: 7.528 7.528 4.255
angles: 90.00 90.00 90.00
Space group P4/m (No. 83)
Symmetry-distinct sites (fractional):
Al 0.071 0.333 0.000 x4
Al 0.127 0.776 0.500 x4
Cu 0.261 0.615 0.000 x4
Cu 0.268 0.447 0.500 x4

***

Starting from a cell relaxed with PBE, the powder X-ray diffraction pattern of AlCu4 was computed for CuKα.

Top 10 peaks for 5 to 70 degrees two-theta, sorted by position:
24.39°, d = 3.650 Å, I = 5, hkl 1 1 1
28.23°, d = 3.161 Å, I = 3, hkl 2 0 0
31.65°, d = 2.827 Å, I = 13, hkl 2 0 1
34.76°, d = 2.581 Å, I = 6, hkl 2 1 1
42.92°, d = 2.107 Å, I = 100, hkl 2 2 1
45.36°, d = 1.999 Å, I = 59, hkl 3 0 1
47.71°, d = 1.906 Å, I = 27, hkl 3 1 1
54.29°, d = 1.690 Å, I = 6, hkl 3 1 2
62.31°, d = 1.490 Å, I = 8, hkl 4 1 1
66.09°, d = 1.414 Å, I = 6, hkl 4 0 2

Cell and atoms:
abc: 6.322 6.322 6.322
angles: 90.00 90.00 90.00
Space group P2_13 (No. 198)
Symmetry-distinct sites (fractional):
Al 0.060 0.060 0.060 x4
Cu 0.048 0.875 0.701 x12
Cu 0.191 0.809 0.309 x4